Record 1
Calculated X-ray diffraction stick pattern of PuNi6Pt6 for Cu Ka, from a cell relaxed with PBE.

Main lines, by angle (15° ≤ 2θ ≤ 90°):
| index | 2θ/deg | Rel. int. |
| --- | --- | --- |
| 0 0 2 | 20.31 | 19 |
| 1 0 3 | 35.72 | 20 |
| 2 0 0 | 36.16 | 100 |
| 0 0 4 | 41.29 | 20 |
| 1 2 3 | 41.60 | 39 |
| 2 0 2 | 41.82 | 79 |
| 0 4 0 | 41.98 | 19 |
| 0 2 4 | 46.59 | 18 |
| 2 2 2 | 47.09 | 30 |
| 2 0 6 | 75.64 | 34 |

Structural model:
abc: 4.9617 8.6186 8.7459
angles: 90.00 90.00 90.00
Space group Immm (No. 71)
Inequivalent atoms, fractional coordinates:
Pu 0.0000 0.0000 0.0000 x2
Ni 0.0000 0.5000 0.2657 x4
Ni 0.2500 0.2500 0.2500 x8
Pt 0.0000 0.0000 0.3413 x4
Pt 0.0000 0.3047 0.5000 x4
Pt 0.0000 0.3428 0.0000 x4



Record 2
Calculated X-ray diffraction stick pattern of Rb3Pa2Se6 for Cu Ka, from a cell relaxed with PBE.

Main lines, by angle (15° ≤ 2θ ≤ 90°):
| index | 2θ/deg | Rel. int. |
| --- | --- | --- |
| 1 0 1 | 16.46 | 50 |
| 1 0 5 | 22.64 | 99 |
| 1 1 0 | 22.92 | 52 |
| 0 0 10 | 31.82 | 30 |
| 2 0 0 | 32.64 | 100 |
| 1 1 10 | 39.58 | 32 |
| 2 1 5 | 40.09 | 46 |
| 2 0 10 | 46.23 | 43 |
| 2 2 0 | 46.83 | 36 |
| 1 1 14 | 51.23 | 30 |

Structural model:
abc: 5.4866 5.4866 28.1257
angles: 90.00 90.00 90.00
Space group I4/mmm (No. 139)
Inequivalent atoms, fractional coordinates:
Rb 0.0000 0.0000 0.0000 x2
Rb 0.0000 0.0000 0.1826 x4
Pa 0.0000 0.0000 0.4002 x4
Se 0.0000 0.0000 0.3077 x4
Se 0.0000 0.5000 0.0822 x8



Record 3
Calculated X-ray diffraction stick pattern of BaFeMo for Cu Ka, from a cell relaxed with PBE.

Main lines, by angle (15° ≤ 2θ ≤ 90°):
| index | 2θ/deg | Rel. int. |
| --- | --- | --- |
| 1 0 0 | 26.00 | 7 |
| 0 1 1 | 30.79 | 100 |
| 0 0 2 | 32.75 | 25 |
| 1 1 0 | 45.86 | 30 |
| 2 0 1 | 56.26 | 17 |
| 0 1 3 | 57.24 | 17 |
| 1 1 2 | 57.49 | 29 |
| 1 2 1 | 75.41 | 15 |
| 2 0 3 | 76.26 | 7 |
| 1 1 4 | 86.53 | 8 |

Structural model:
abc: 3.9573 3.9573 5.4686
angles: 90.00 90.00 120.00
Space group P3m1 (No. 156)
Inequivalent atoms, fractional coordinates:
Ba 0.0000 0.0000 0.0000 x1
Fe 0.6667 0.3333 0.5277 x1
Mo 0.3333 0.6667 0.4872 x1



Record 4
Calculated X-ray diffraction stick pattern of Sm3Zn2Ni4 for Cu Ka, from a cell relaxed with PBE.

Main lines, by angle (15° ≤ 2θ ≤ 90°):
| index | 2θ/deg | Rel. int. |
| --- | --- | --- |
| 1 1 1 | 26.31 | 55 |
| 2 0 2 | 30.57 | 22 |
| 1 1 -2 | 31.04 | 49 |
| 3 1 0 | 35.21 | 100 |
| 4 0 -1 | 37.15 | 29 |
| 3 1 -2 | 39.37 | 55 |
| 4 0 1 | 40.39 | 27 |
| 1 1 3 | 41.71 | 45 |
| 0 2 0 | 43.55 | 46 |
| 4 2 -1 | 58.55 | 22 |

Structural model:
abc: 9.7851 4.1560 8.3030
angles: 90.00 98.52 90.00
Space group C2/m (No. 12)
Inequivalent atoms, fractional coordinates:
Sm 0.0000 0.0000 0.0000 x2
Sm 0.1248 0.5000 0.3774 x4
Zn 0.1802 0.5000 0.7802 x4
Ni 0.0829 0.0000 0.6338 x4
Ni 0.2325 0.5000 0.0836 x4



Record 5
Calculated X-ray diffraction stick pattern of CePm4Ga4 for Cu Ka, from a cell relaxed with PBE.

Main lines, by angle (15° ≤ 2θ ≤ 90°):
| index | 2θ/deg | Rel. int. |
| --- | --- | --- |
| 2 1 1 | 27.33 | 31 |
| 1 0 2 | 31.58 | 80 |
| 3 1 0 | 32.55 | 100 |
| 2 2 1 | 32.73 | 38 |
| 3 0 1 | 34.36 | 82 |
| 1 3 1 | 35.92 | 37 |
| 2 1 2 | 37.90 | 52 |
| 2 3 1 | 40.30 | 55 |
| 3 2 2 | 48.44 | 21 |
| 4 1 2 | 53.09 | 28 |

Structural model:
abc: 8.6984 8.6984 5.9923
angles: 90.00 90.00 90.00
Space group P4_2/n (No. 86, origin choice 2)
Inequivalent atoms, fractional coordinates:
Ce 0.2500 0.2500 0.2500 x2
Pm 0.0717 0.8218 0.6356 x8
Ga 0.0518 0.1576 0.8498 x8



Record 6
Calculated X-ray diffraction stick pattern of KY2Tl3 for Cu Ka, from a cell relaxed with PBE.

Main lines, by angle (15° ≤ 2θ ≤ 90°):
| index | 2θ/deg | Rel. int. |
| --- | --- | --- |
| 0 0 3 | 21.63 | 9 |
| 1 0 0 | 23.01 | 30 |
| 1 0 3 | 31.79 | 100 |
| 1 1 0 | 32.77 | 61 |
| 1 0 4 | 37.32 | 28 |
| 2 0 0 | 47.02 | 22 |
| 2 1 3 | 57.87 | 36 |
| 2 1 4 | 61.51 | 14 |
| 1 1 7 | 62.77 | 14 |
| 3 1 0 | 78.21 | 10 |

Structural model:
abc: 3.8653 3.8653 12.3261
angles: 90.00 90.00 90.00
Space group P4/mmm (No. 123)
Inequivalent atoms, fractional coordinates:
K 0.0000 0.0000 0.0000 x1
Y 0.0000 0.0000 0.3467 x2
Tl 0.5000 0.5000 0.2056 x2
Tl 0.5000 0.5000 0.5000 x1